Simulated XRD peak list
Compound: Rb2BiClO2
Radiation: CuKα
Structure: DFT lattice parameters and positions (PBE)
Lines closer than 0.1° are merged.

Atomic structure:
Lattice parameters (Å, degrees): 4.570 4.570 7.284 90.00 90.00 90.00
Positions (direct):
1 Rb 0.000 0.000 0.241
2 Rb 0.000 0.000 0.759
3 Bi 0.500 0.500 0.500
4 Cl 0.500 0.500 0.000
5 O 0.000 0.500 0.500
6 O 0.500 0.000 0.500

Most intense lines, 2θ from 15° to 90°, by angle:
| d [Å] | 2theta | Rel. int. |
| --- | --- | --- |
| 3.871 | 23.0 | 39 |
| 3.231 | 27.6 | 59 |
| 2.848 | 31.4 | 100 |
| 2.285 | 39.4 | 31 |
| 1.968 | 46.1 | 14 |
| 1.782 | 51.3 | 50 |
| 1.586 | 58.1 | 15 |
| 1.424 | 65.6 | 13 |
| 1.405 | 66.5 | 11 |
| 1.197 | 80.2 | 14 |

---

Simulated XRD peak list
Compound: YP12Ru4
Radiation: CuKα
Structure: DFT lattice parameters and positions (PBE)
Lines closer than 0.1° are merged.

Atomic structure:
Lattice parameters (Å, degrees): 6.998 6.998 6.998 109.47 109.47 109.47
Positions (direct):
1 Y 0.000 0.000 0.000
2 P 0.143 0.357 0.500
3 P 0.143 0.643 0.786
4 P 0.214 0.857 0.357
5 P 0.357 0.214 0.857
6 P 0.357 0.500 0.143
7 P 0.500 0.143 0.357
8 P 0.500 0.857 0.643
9 P 0.643 0.500 0.857
10 P 0.643 0.786 0.143
11 P 0.786 0.143 0.643
12 P 0.857 0.357 0.214
13 P 0.857 0.643 0.500
14 Ru 0.000 0.000 0.500
15 Ru 0.000 0.500 0.000
16 Ru 0.500 0.000 0.000
17 Ru 0.500 0.500 0.500

Most intense lines, 2θ from 15° to 90°, by angle:
| d [Å] | 2theta | Rel. int. |
| --- | --- | --- |
| 4.040 | 22.0 | 37 |
| 2.857 | 31.3 | 100 |
| 2.555 | 35.1 | 43 |
| 2.333 | 38.6 | 17 |
| 2.160 | 41.8 | 23 |
| 2.020 | 44.9 | 15 |
| 1.807 | 50.5 | 46 |
| 1.649 | 55.7 | 56 |
| 1.585 | 58.2 | 19 |
| 1.278 | 74.2 | 22 |

---

Simulated XRD peak list
Compound: DyNi3
Radiation: CuKα
Structure: DFT lattice parameters and positions (PBE)
Lines closer than 0.1° are merged.

Atomic structure:
Lattice parameters (Å, degrees): 4.961 4.961 16.212 90.00 90.00 120.00
Positions (direct):
1 Dy 0.333 0.667 0.042
2 Dy 0.333 0.667 0.250
3 Dy 0.333 0.667 0.458
4 Dy 0.667 0.333 0.542
5 Dy 0.667 0.333 0.750
6 Dy 0.667 0.333 0.958
7 Ni 0.000 0.000 0.000
8 Ni 0.000 0.000 0.250
9 Ni 0.000 0.000 0.500
10 Ni 0.000 0.000 0.750
11 Ni 0.167 0.334 0.627
12 Ni 0.167 0.334 0.873
13 Ni 0.167 0.833 0.627
14 Ni 0.167 0.833 0.873
15 Ni 0.333 0.667 0.750
16 Ni 0.334 0.167 0.127
17 Ni 0.334 0.167 0.373
18 Ni 0.666 0.833 0.627
19 Ni 0.666 0.833 0.873
20 Ni 0.667 0.333 0.250
21 Ni 0.833 0.167 0.127
22 Ni 0.833 0.167 0.373
23 Ni 0.833 0.666 0.127
24 Ni 0.833 0.666 0.373

Most intense lines, 2θ from 15° to 90°, by angle:
| d [Å] | 2theta | Rel. int. |
| --- | --- | --- |
| 2.588 | 34.7 | 82 |
| 2.480 | 36.2 | 57 |
| 2.148 | 42.1 | 14 |
| 2.129 | 42.5 | 39 |
| 2.116 | 42.7 | 100 |
| 1.996 | 45.4 | 24 |
| 1.452 | 64.1 | 27 |
| 1.380 | 67.9 | 17 |
| 1.350 | 69.6 | 23 |
| 1.240 | 76.9 | 23 |

---

Simulated XRD peak list
Compound: Li2CeSc2Sn2
Radiation: CuKα
Structure: DFT lattice parameters and positions (PBE)
Lines closer than 0.1° are merged.

Atomic structure:
Lattice parameters (Å, degrees): 8.944 8.944 8.944 30.68 30.68 30.68
Positions (direct):
1 Li 0.073 0.073 0.073
2 Li 0.927 0.927 0.927
3 Ce 0.500 0.500 0.500
4 Sc 0.367 0.367 0.367
5 Sc 0.633 0.633 0.633
6 Sn 0.244 0.244 0.244
7 Sn 0.756 0.756 0.756

Most intense lines, 2θ from 15° to 90°, by angle:
| d [Å] | 2theta | Rel. int. |
| --- | --- | --- |
| 4.046 | 22.0 | 58 |
| 3.449 | 25.8 | 95 |
| 2.726 | 32.9 | 53 |
| 2.519 | 35.6 | 100 |
| 2.366 | 38.0 | 98 |
| 1.951 | 46.5 | 21 |
| 1.725 | 53.1 | 32 |
| 1.583 | 58.3 | 22 |
| 1.505 | 61.6 | 19 |
| 1.394 | 67.2 | 31 |

---

Simulated XRD peak list
Compound: Na8BeAl4Si7Br2O24
Radiation: CuKα
Structure: DFT lattice parameters and positions (PBE)
Lines closer than 0.1° are merged.

Atomic structure:
Lattice parameters (Å, degrees): 8.964 8.964 9.107 90.00 90.00 90.00
Positions (direct):
1 Na 0.175 0.291 0.458
2 Na 0.190 0.317 0.044
3 Na 0.291 0.825 0.542
4 Na 0.317 0.810 0.956
5 Na 0.683 0.190 0.956
6 Na 0.709 0.175 0.542
7 Na 0.810 0.683 0.044
8 Na 0.825 0.709 0.458
9 Be 0.000 0.000 0.500
10 Al 0.250 0.508 0.750
11 Al 0.492 0.250 0.250
12 Al 0.508 0.750 0.250
13 Al 0.750 0.492 0.750
14 Si 0.000 0.000 0.000
15 Si 0.005 0.759 0.746
16 Si 0.241 0.005 0.254
17 Si 0.500 0.500 0.000
18 Si 0.500 0.500 0.500
19 Si 0.759 0.995 0.254
20 Si 0.995 0.241 0.746
21 Br 0.000 0.500 0.244
22 Br 0.500 0.000 0.756
23 O 0.039 0.855 0.603
24 O 0.048 0.142 0.897
25 O 0.129 0.359 0.714
26 O 0.142 0.952 0.103
27 O 0.145 0.039 0.397
28 O 0.158 0.675 0.802
29 O 0.325 0.158 0.198
30 O 0.355 0.454 0.902
31 O 0.357 0.557 0.597
32 O 0.359 0.871 0.286
33 O 0.443 0.357 0.403
34 O 0.454 0.645 0.098
35 O 0.546 0.355 0.098
36 O 0.557 0.643 0.403
37 O 0.641 0.129 0.286
38 O 0.643 0.443 0.597
39 O 0.645 0.546 0.902
40 O 0.675 0.842 0.198
41 O 0.842 0.325 0.802
42 O 0.855 0.961 0.397
43 O 0.858 0.048 0.103
44 O 0.871 0.641 0.714
45 O 0.952 0.858 0.897
46 O 0.961 0.145 0.603

Most intense lines, 2θ from 15° to 90°, by angle:
| d [Å] | 2theta | Rel. int. |
| --- | --- | --- |
| 3.698 | 24.1 | 43 |
| 3.669 | 24.3 | 100 |
| 2.601 | 34.5 | 13 |
| 2.420 | 37.2 | 16 |
| 2.407 | 37.4 | 16 |
| 2.398 | 37.5 | 12 |
| 2.129 | 42.4 | 16 |
| 2.114 | 42.8 | 18 |
| 1.638 | 56.1 | 9 |
| 1.456 | 63.9 | 9 |

---

Simulated XRD peak list
Compound: CdHPt3
Radiation: CuKα
Structure: DFT lattice parameters and positions (PBE)
Lines closer than 0.1° are merged.

Atomic structure:
Lattice parameters (Å, degrees): 5.818 5.818 5.807 119.93 119.93 61.41
Positions (direct):
1 Cd 0.000 0.000 0.000
2 Cd 0.508 0.508 0.507
3 H 0.822 0.822 0.154
4 H 0.823 0.823 0.492
5 Pt 0.011 0.011 0.511
6 Pt 0.016 0.484 0.503
7 Pt 0.016 0.484 0.997
8 Pt 0.484 0.016 0.503
9 Pt 0.484 0.016 0.997
10 Pt 0.504 0.504 0.004

Most intense lines, 2θ from 15° to 90°, by angle:
| d [Å] | 2theta | Rel. int. |
| --- | --- | --- |
| 2.400 | 37.5 | 100 |
| 2.364 | 38.1 | 98 |
| 2.076 | 43.6 | 66 |
| 2.037 | 44.5 | 31 |
| 1.454 | 64.0 | 42 |
| 1.258 | 75.6 | 25 |
| 1.242 | 76.7 | 25 |
| 1.235 | 77.2 | 12 |
| 1.230 | 77.6 | 12 |
| 1.182 | 81.4 | 11 |

---

Simulated XRD peak list
Compound: Pu5Zn3Hg3
Radiation: CuKα
Structure: DFT lattice parameters and positions (PBE)
Lines closer than 0.1° are merged.

Atomic structure:
Lattice parameters (Å, degrees): 5.654 6.385 7.628 100.10 104.59 100.68
Positions (direct):
1 Pu 0.000 0.000 0.000
2 Pu 0.006 0.565 0.546
3 Pu 0.237 0.368 0.350
4 Pu 0.517 0.294 0.778
5 Pu 0.726 0.652 0.247
6 Zn 0.438 0.834 0.916
7 Zn 0.595 0.732 0.644
8 Zn 0.638 0.163 0.214
9 Hg 0.098 0.506 0.969
10 Hg 0.316 0.899 0.371
11 Hg 0.931 0.079 0.586

Most intense lines, 2θ from 15° to 90°, by angle:
| d [Å] | 2theta | Rel. int. |
| --- | --- | --- |
| 3.766 | 23.6 | 23 |
| 2.770 | 32.3 | 54 |
| 2.687 | 33.4 | 100 |
| 2.650 | 33.8 | 87 |
| 2.636 | 34.0 | 80 |
| 2.518 | 35.7 | 20 |
| 2.470 | 36.4 | 37 |
| 2.406 | 37.4 | 76 |
| 2.138 | 42.3 | 31 |
| 1.426 | 65.4 | 21 |

---

Simulated XRD peak list
Compound: Mn2PdPt2
Radiation: CuKα
Structure: DFT lattice parameters and positions (PBE)
Lines closer than 0.1° are merged.

Atomic structure:
Lattice parameters (Å, degrees): 7.424 7.424 2.874 90.00 90.00 90.00
Positions (direct):
1 Mn 0.165 0.335 0.000
2 Mn 0.335 0.835 0.000
3 Mn 0.665 0.165 0.000
4 Mn 0.835 0.665 0.000
5 Pd 0.000 0.000 0.500
6 Pd 0.500 0.500 0.500
7 Pt 0.134 0.634 0.500
8 Pt 0.366 0.134 0.500
9 Pt 0.634 0.866 0.500
10 Pt 0.866 0.366 0.500

Most intense lines, 2θ from 15° to 90°, by angle:
| d [Å] | 2theta | Rel. int. |
| --- | --- | --- |
| 5.250 | 16.9 | 14 |
| 3.320 | 26.9 | 45 |
| 2.874 | 31.1 | 29 |
| 2.348 | 38.3 | 64 |
| 2.173 | 41.6 | 100 |
| 2.059 | 44.0 | 15 |
| 1.818 | 50.2 | 29 |
| 1.674 | 54.8 | 17 |
| 1.243 | 76.7 | 21 |
| 1.226 | 77.9 | 16 |